Structure and theoretical powder diffraction line list of VAsPb2O6 (a cell relaxed with GGA+U; Cu Kα, 1.54184 Å).

Peak list (10 most intense, 10° ≤ 2θ ≤ 80°, low angle first)
d (Å)  two_theta  I (rel.)  h k l
3.760  23.66  27  0 1 5
3.167  28.18  42  1 0 7
2.913  30.69  62  0 1 8
2.868  31.18  100  1 1 0
2.126  42.52  27  0 2 7
2.044  44.32  29  2 0 8
2.022  44.83  18  1 0 13
1.665  55.18  25  1 2 8
1.656  55.49  20  3 0 0
1.595  57.83  19  1 1 15

Atomic structure:
```
data_VAsPb2O6
_cell_length_a 5.7364
_cell_length_b 5.7364
_cell_length_c 28.7735
_cell_angle_alpha 90.00
_cell_angle_beta 90.00
_cell_angle_gamma 120.00
_space_group_name_H-M_alt 'R -3 m'
_space_group_IT_number 166
_space_group_name_Hall '-R 3 2"'
loop_
_atom_site_label
_atom_site_type_symbol
_atom_site_fract_x
_atom_site_fract_y
_atom_site_fract_z
_atom_site_occupancy
V1 V 0.0000 0.0000 0.0936 1
As1 As 0.0000 0.0000 0.0000 1
As2 As 0.0000 0.0000 0.5000 1
Pb1 Pb 0.0000 0.0000 0.2315 1
Pb2 Pb 0.0000 0.0000 0.3759 1
O1 O 0.0059 0.5030 0.2136 1
O2 O 0.0342 0.5171 0.6267 1
```